Calculated X-ray diffraction stick pattern
Compound: RbBaNpO6
Radiation: Cu Kα (weighted mean of Kα1 and Kα2)
Structure: the PBE geometry in Alexandria
Kinematic intensities with the Lorentz-polarization factor, no thermal factor.

Largest 10 diffraction maxima, low angle first, 2θ from 10° to 90°:
2theta  d (Å)  I (rel.)  (hkl)
16.0  5.556  31  1 0 0
17.3  5.118  14  0 0 1
23.6  3.764  100  1 0 1
27.8  3.208  55  1 1 0
33.0  2.718  15  2 -1 1
36.8  2.442  30  0 2 1
45.3  2.001  40  2 -1 2
46.8  1.943  32  3 -1 1
49.2  1.852  16  3 0 0
63.0  1.476  14  4 -3 1

```
data_RbBaNpO6
_chemical_formula_sum 'Rb1 Ba1 Np1 O6'
_symmetry_space_group_name_H-M 'P 3'
_symmetry_Int_Tables_number 143
_cell_length_a 6.4157
_cell_length_b 6.4157
_cell_length_c 5.1183
_cell_angle_alpha 90.00
_cell_angle_beta 90.00
_cell_angle_gamma 120.00
loop_
_symmetry_equiv_pos_as_xyz
'x,y,z'
'-y,x-y,z'
'-x+y,-x,z'
loop_
_atom_site_label
_atom_site_fract_x
_atom_site_fract_y
_atom_site_fract_z
Rb1 0.0000 0.0000 0.0000
Ba1 0.6667 0.3333 0.4991
Np1 0.3333 0.6667 0.9984
O1 0.0723 0.4236 0.2165
O2 0.0729 0.6500 0.7802
```

***

Calculated X-ray diffraction stick pattern
Compound: GaAs2Pd2
Radiation: Cu Kα (weighted mean of Kα1 and Kα2)
Structure: the PBE geometry in Alexandria
Kinematic intensities with the Lorentz-polarization factor, no thermal factor.

Largest 10 diffraction maxima, low angle first, 2θ from 10° to 90°:
2theta  d (Å)  I (rel.)  (hkl)
24.4  3.642  34  1 0 1
31.5  2.843  44  1 0 3
36.3  2.478  100  1 1 2
42.4  2.130  66  1 0 5
43.9  2.061  51  1 1 4
47.9  1.898  54  2 0 0
65.9  1.417  34  2 1 5
70.1  1.342  17  2 2 0
81.6  1.180  18  3 1 2
83.3  1.161  21  1 1 10

```
data_GaAs2Pd2
_chemical_formula_sum 'Ga2 As4 Pd4'
_symmetry_space_group_name_H-M 'I 4/m m m'
_symmetry_Int_Tables_number 139
_symmetry_space_group_name_Hall '-I 4 2'
_cell_length_a 3.797
_cell_length_b 3.797
_cell_length_c 12.869
_cell_angle_alpha 90.00
_cell_angle_beta 90.00
_cell_angle_gamma 90.00
loop_
_atom_site_label
_atom_site_fract_x
_atom_site_fract_y
_atom_site_fract_z
Ga1 0.000 0.000 0.000
As1 0.000 0.500 0.250
Pd1 0.000 0.000 0.396
```

***

Calculated X-ray diffraction stick pattern
Compound: ScOsSeBr2
Radiation: Cu Kα (weighted mean of Kα1 and Kα2)
Structure: the PBE geometry in Alexandria
Kinematic intensities with the Lorentz-polarization factor, no thermal factor.

Largest 10 diffraction maxima, low angle first, 2θ from 10° to 90°:
2theta  d (Å)  I (rel.)  (hkl)
24.0  3.711  38  1 0 1
29.5  3.030  100  1 1 1
34.2  2.624  77  2 0 0
42.2  2.142  17  2 1 1
49.1  1.855  55  2 2 0
58.3  1.582  44  3 1 1
61.2  1.515  19  2 2 2
66.7  1.403  9  3 2 1
79.6  1.204  18  3 3 1
82.1  1.173  24  4 2 0

```
data_ScOsSeBr2
_chemical_formula_sum 'Sc1 Os1 Se1 Br2'
_symmetry_space_group_name_H-M 'P 4/m m m'
_symmetry_Int_Tables_number 123
_symmetry_space_group_name_Hall '-P 4 2'
_cell_length_a 5.247
_cell_length_b 5.247
_cell_length_c 5.250
_cell_angle_alpha 90.00
_cell_angle_beta 90.00
_cell_angle_gamma 90.00
loop_
_atom_site_label
_atom_site_fract_x
_atom_site_fract_y
_atom_site_fract_z
Sc1 0.000 0.000 0.000
Os1 0.500 0.500 0.500
Se1 0.000 0.000 0.500
Br1 0.000 0.500 0.000
```

***

Calculated X-ray diffraction stick pattern
Compound: Re3Ag
Radiation: Cu Kα (weighted mean of Kα1 and Kα2)
Structure: the PBE geometry in Alexandria
Kinematic intensities with the Lorentz-polarization factor, no thermal factor.

Largest 10 diffraction maxima, low angle first, 2θ from 10° to 90°:
2theta  d (Å)  I (rel.)  (hkl)
38.5  2.336  29  1 1 2
38.8  2.318  17  2 1 0
39.1  2.303  49  0 4 0
42.3  2.139  100  1 2 2
42.5  2.125  43  2 2 0
47.9  1.898  15  1 3 2
67.6  1.387  20  3 0 2
73.0  1.296  18  1 6 2
80.9  1.188  25  3 4 2
82.6  1.168  12  2 2 4

```
data_Re3Ag
_chemical_formula_sum 'Re12 Ag4'
_symmetry_space_group_name_H-M 'P n m a'
_symmetry_Int_Tables_number 62
_cell_length_a 4.791
_cell_length_b 9.212
_cell_length_c 5.593
_cell_angle_alpha 90.00
_cell_angle_beta 90.00
_cell_angle_gamma 90.00
loop_
_symmetry_equiv_pos_as_xyz
'x,y,z'
'-x,-y,-z'
'-x+1/2,-y,z+1/2'
'x+1/2,y,-z+1/2'
'x+1/2,-y+1/2,-z+1/2'
'-x+1/2,y+1/2,z+1/2'
'-x,y+1/2,-z'
'x,-y+1/2,z'
loop_
_atom_site_label
_atom_site_fract_x
_atom_site_fract_y
_atom_site_fract_z
Re1 0.093 0.250 0.136
Re2 0.248 0.510 0.867
Ag1 0.088 0.250 0.633
```

***

Calculated X-ray diffraction stick pattern
Compound: Pr3HoH8
Radiation: Cu Kα (weighted mean of Kα1 and Kα2)
Structure: the PBE geometry in Alexandria
Kinematic intensities with the Lorentz-polarization factor, no thermal factor.

Largest 9 diffraction maxima, low angle first, 2θ from 10° to 90°:
2theta  d (Å)  I (rel.)  (hkl)
28.4  3.138  100  1 1 1
33.0  2.718  49  2 0 0
47.3  1.922  38  2 2 0
56.1  1.639  45  3 1 1
58.9  1.569  13  2 2 2
69.1  1.359  6  4 0 0
76.4  1.247  18  3 3 1
78.7  1.215  16  4 2 0
88.0  1.109  13  4 2 2

```
data_Pr3HoH8
_chemical_formula_sum 'Pr3 Ho1 H8'
_symmetry_space_group_name_H-M 'P m -3 m'
_symmetry_Int_Tables_number 221
_symmetry_space_group_name_Hall '-P 4 2 3'
_cell_length_a 5.435
_cell_length_b 5.435
_cell_length_c 5.435
_cell_angle_alpha 90.00
_cell_angle_beta 90.00
_cell_angle_gamma 90.00
loop_
_atom_site_label
_atom_site_fract_x
_atom_site_fract_y
_atom_site_fract_z
Pr1 0.000 0.000 0.500
Ho1 0.500 0.500 0.500
H1 0.260 0.260 0.260
```